Entry 1:
Diffraction record for LaCd11. The powder X-ray diffraction pattern is simulated, not measured: it uses a structure optimized by DFT (GGA-PBE) and a wavelength of 1.5418 Å.
Peak positions follow from Bragg's law for the DFT cell and can differ from measured ones.

Peak list (12 most intense, 10 to 80 degrees two-theta, by intensity)
two_theta, I (rel.)
39.65, 100.0
31.66, 87.1
33.11, 78.1
40.85, 69.3
44.29, 50.6
34.51, 47.5
30.15, 36.6
63.57, 31.5
74.38, 31.4
55.46, 20.8
78.37, 20.4
66.14, 19.2

Structure:
a = 9.3720 Å, b = 9.3720 Å, c = 9.3720 Å
α = 90.00°, β = 90.00°, γ = 90.00°
Positions (direct):
La  0.0000  0.0000  0.5000
La  0.0000  0.5000  0.0000
La  0.5000  0.0000  0.0000
Cd  0.0000  0.3451  0.3451
Cd  0.0000  0.3451  0.6549
Cd  0.0000  0.6549  0.3451
Cd  0.0000  0.6549  0.6549
Cd  0.1568  0.1568  0.1568
Cd  0.1568  0.1568  0.8432
Cd  0.1568  0.8432  0.1568
Cd  0.1568  0.8432  0.8432
Cd  0.2663  0.2663  0.5000
Cd  0.2663  0.5000  0.2663
Cd  0.2663  0.5000  0.7337
Cd  0.2663  0.7337  0.5000
Cd  0.3451  0.0000  0.3451
Cd  0.3451  0.0000  0.6549
Cd  0.3451  0.3451  0.0000
Cd  0.3451  0.6549  0.0000
Cd  0.5000  0.2663  0.2663
Cd  0.5000  0.2663  0.7337
Cd  0.5000  0.5000  0.5000
Cd  0.5000  0.7337  0.2663
Cd  0.5000  0.7337  0.7337
Cd  0.6549  0.0000  0.3451
Cd  0.6549  0.0000  0.6549
Cd  0.6549  0.3451  0.0000
Cd  0.6549  0.6549  0.0000
Cd  0.7337  0.2663  0.5000
Cd  0.7337  0.5000  0.2663
Cd  0.7337  0.5000  0.7337
Cd  0.7337  0.7337  0.5000
Cd  0.8432  0.1568  0.1568
Cd  0.8432  0.1568  0.8432
Cd  0.8432  0.8432  0.1568
Cd  0.8432  0.8432  0.8432

=====

Entry 2:
Diffraction record for LuMgTe3Au. The powder X-ray diffraction pattern is simulated, not measured: it uses a structure optimized by DFT (GGA-PBE) and a wavelength of 1.5418 Å.
Peak positions follow from Bragg's law for the DFT cell and can differ from measured ones.

Peak list (12 most intense, 10 to 80 degrees two-theta, by intensity)
two_theta, I (rel.)
31.52, 100.0
23.78, 67.0
46.06, 55.4
44.10, 43.1
37.09, 35.0
40.84, 33.8
14.38, 33.5
35.38, 32.6
33.63, 28.7
26.58, 22.8
74.39, 20.1
27.57, 19.0

Structure:
a = 13.4141 Å, b = 4.1072 Å, c = 12.3218 Å
α = 90.00°, β = 90.00°, γ = 90.00°
Positions (direct):
Lu  0.0581  0.2500  0.1814
Lu  0.4419  0.7500  0.6814
Lu  0.5581  0.2500  0.3186
Lu  0.9419  0.7500  0.8186
Mg  0.2019  0.2500  0.4772
Mg  0.2981  0.7500  0.9772
Mg  0.7019  0.2500  0.0228
Mg  0.7981  0.7500  0.5228
Te  0.0436  0.7500  0.3639
Te  0.0810  0.2500  0.9238
Te  0.2215  0.7500  0.6496
Te  0.2785  0.2500  0.1496
Te  0.4190  0.7500  0.4238
Te  0.4564  0.2500  0.8639
Te  0.5436  0.7500  0.1361
Te  0.5810  0.2500  0.5762
Te  0.7215  0.7500  0.8504
Te  0.7785  0.2500  0.3504
Te  0.9190  0.7500  0.0762
Te  0.9564  0.2500  0.6361
Au  0.2416  0.7500  0.3232
Au  0.2584  0.2500  0.8232
Au  0.7416  0.7500  0.1768
Au  0.7584  0.2500  0.6768

=====

Entry 3:
Diffraction record for Na2In4IrAu. The powder X-ray diffraction pattern is simulated, not measured: it uses a structure optimized by DFT (GGA-PBE) and a wavelength of 1.5418 Å.
Peak positions follow from Bragg's law for the DFT cell and can differ from measured ones.

Peak list (12 most intense, 10 to 80 degrees two-theta, by intensity)
two_theta, I (rel.)
40.45, 100.0
16.64, 96.0
39.77, 80.4
34.56, 68.5
31.52, 67.5
24.86, 56.0
19.98, 48.6
41.89, 45.8
40.60, 44.8
59.76, 28.3
35.50, 27.6
64.98, 24.2

Structure:
a = 8.0598 Å, b = 4.3132 Å, c = 10.6538 Å
α = 90.00°, β = 90.00°, γ = 90.00°
Positions (direct):
Na  0.0000  0.0000  0.0000
Na  0.0000  0.5000  0.5000
Na  0.5000  0.0000  0.1337
Na  0.5000  0.5000  0.6337
In  0.1917  0.0000  0.7061
In  0.1917  0.5000  0.2061
In  0.2858  0.0000  0.4237
In  0.2858  0.5000  0.9237
In  0.7142  0.0000  0.4237
In  0.7142  0.5000  0.9237
In  0.8083  0.0000  0.7061
In  0.8083  0.5000  0.2061
Ir  0.0000  0.0000  0.2822
Ir  0.0000  0.5000  0.7822
Au  0.5000  0.0000  0.8496
Au  0.5000  0.5000  0.3496

=====

Entry 4:
Diffraction record for Gd2Ho3Tm3. The powder X-ray diffraction pattern is simulated, not measured: it uses a structure optimized by DFT (GGA-PBE) and a wavelength of 1.5418 Å.
Peak positions follow from Bragg's law for the DFT cell and can differ from measured ones.

Peak list (12 most intense, 10 to 80 degrees two-theta, by intensity)
two_theta, I (rel.)
33.02, 100.0
32.01, 24.1
28.78, 23.8
61.48, 22.5
57.70, 20.5
50.98, 19.7
62.09, 16.4
43.58, 15.6
69.27, 3.9
74.44, 3.2
59.60, 3.1
66.94, 2.9

Structure:
a = 7.1649 Å, b = 7.1649 Å, c = 5.5915 Å
α = 90.00°, β = 90.00°, γ = 120.00°
Positions (direct):
Gd  0.0000  0.0000  0.0000
Gd  0.3333  0.6667  0.5000
Ho  0.5008  0.0016  0.0000
Ho  0.5008  0.4992  0.0000
Ho  0.9984  0.4992  0.0000
Tm  0.3351  0.1676  0.5000
Tm  0.8324  0.1676  0.5000
Tm  0.8324  0.6649  0.5000

=====

Entry 5:
Diffraction record for Cu4Ag. The powder X-ray diffraction pattern is simulated, not measured: it uses a structure optimized by DFT (GGA-PBE) and a wavelength of 1.5418 Å.
Peak positions follow from Bragg's law for the DFT cell and can differ from measured ones.

Peak list (12 most intense, 10 to 80 degrees two-theta, by intensity)
two_theta, I (rel.)
41.62, 100.0
48.42, 61.8
42.02, 49.0
42.18, 44.8
49.32, 28.3
71.52, 25.9
71.72, 15.0
70.22, 9.9
33.46, 5.5
22.37, 3.1
19.69, 2.8
43.79, 2.7

Structure:
a = 4.5476 Å, b = 2.6809 Å, c = 10.8051 Å
α = 90.00°, β = 97.50°, γ = 90.00°
Positions (direct):
Cu  0.0490  0.2500  0.3944
Cu  0.1388  0.7500  0.1922
Cu  0.2482  0.2500  0.0028
Cu  0.3470  0.7500  0.8150
Cu  0.6530  0.2500  0.1850
Cu  0.7518  0.7500  0.9972
Cu  0.8612  0.2500  0.8078
Cu  0.9510  0.7500  0.6056
Ag  0.4477  0.2500  0.6110
Ag  0.5523  0.7500  0.3890

=====

Entry 6:
Diffraction record for Hf4Sc2Ga3C3. The powder X-ray diffraction pattern is simulated, not measured: it uses a structure optimized by DFT (GGA-PBE) and a wavelength of 1.5418 Å.
Peak positions follow from Bragg's law for the DFT cell and can differ from measured ones.

Peak list (12 most intense, 10 to 80 degrees two-theta, by intensity)
two_theta, I (rel.)
36.80, 100.0
37.99, 22.9
31.39, 20.9
18.10, 17.8
55.88, 16.7
18.46, 13.0
12.46, 11.9
67.90, 10.5
50.04, 10.0
32.03, 9.5
68.76, 8.6
69.48, 7.8

Structure:
a = 5.7004 Å, b = 5.7004 Å, c = 14.5991 Å
α = 101.43°, β = 101.43°, γ = 59.98°
Positions (direct):
Hf  0.0242  0.1992  0.0850
Hf  0.1416  0.3052  0.4150
Hf  0.1992  0.0242  0.5850
Hf  0.3052  0.1416  0.9150
Hf  0.6948  0.8584  0.0850
Hf  0.8008  0.9758  0.4150
Hf  0.8584  0.6948  0.5850
Hf  0.9758  0.8008  0.9150
Sc  0.3689  0.5324  0.0958
Sc  0.4676  0.6311  0.4042
Sc  0.5324  0.3689  0.5958
Sc  0.6311  0.4676  0.9042
Ga  0.0088  0.9912  0.7500
Ga  0.1630  0.4156  0.7495
Ga  0.4156  0.1630  0.2495
Ga  0.5844  0.8370  0.7505
Ga  0.8370  0.5844  0.2505
Ga  0.9912  0.0088  0.2500
C  0.0000  0.5000  0.0000
C  0.1636  0.6681  0.4999
C  0.3319  0.8364  0.0001
C  0.5000  0.0000  0.5000
C  0.6681  0.1636  0.9999
C  0.8364  0.3319  0.5001

=====

Entry 7:
Diffraction record for LuNbN2O. The powder X-ray diffraction pattern is simulated, not measured: it uses a structure optimized by DFT (GGA-PBE) and a wavelength of 1.5418 Å.
Peak positions follow from Bragg's law for the DFT cell and can differ from measured ones.

Peak list (12 most intense, 10 to 80 degrees two-theta, by intensity)
two_theta, I (rel.)
32.26, 100.0
32.39, 32.4
33.23, 30.7
46.26, 27.5
31.47, 25.2
58.74, 20.8
58.10, 14.3
33.53, 13.2
25.48, 11.7
22.65, 11.5
46.53, 9.2
52.42, 8.8

Structure:
a = 7.8173 Å, b = 7.8534 Å, c = 7.8568 Å
α = 89.92°, β = 89.81°, γ = 86.97°
Positions (direct):
Lu  0.0000  0.0000  0.0000
Lu  0.0191  0.4720  0.9928
Lu  0.0574  0.5614  0.4928
Lu  0.0785  0.0393  0.4897
Lu  0.4860  0.4970  0.9891
Lu  0.5075  0.9829  0.9945
Lu  0.5703  0.0521  0.4914
Lu  0.5942  0.5421  0.4960
Nb  0.2785  0.2611  0.7351
Nb  0.2839  0.7623  0.7359
Nb  0.2968  0.2692  0.2617
Nb  0.2998  0.7527  0.2506
Nb  0.7727  0.2730  0.2298
Nb  0.7861  0.7575  0.2266
Nb  0.7871  0.2548  0.7573
Nb  0.8058  0.7602  0.7492
N  0.0375  0.8288  0.6786
N  0.0397  0.2151  0.8082
N  0.2011  0.3087  0.4932
N  0.2307  0.5271  0.1737
N  0.2408  0.5252  0.8116
N  0.3316  0.6929  0.4954
N  0.3403  0.0242  0.2995
N  0.3522  0.0223  0.6859
N  0.5371  0.3295  0.3098
N  0.5410  0.7148  0.1785
N  0.7243  0.0239  0.8051
N  0.7380  0.0215  0.1891
N  0.7448  0.3503  0.9916
N  0.8390  0.5229  0.6792
N  0.8467  0.5181  0.3108
N  0.8776  0.7321  0.9948
O  0.0368  0.8290  0.3151
O  0.0411  0.2186  0.1684
O  0.2486  0.8662  0.9961
O  0.3801  0.2358  0.9903
O  0.5384  0.7180  0.8208
O  0.5395  0.3320  0.6720
O  0.6967  0.8053  0.4989
O  0.8289  0.1779  0.4937

=====

Entry 8:
Diffraction record for YHoC2I2. The powder X-ray diffraction pattern is simulated, not measured: it uses a structure optimized by DFT (GGA-PBE) and a wavelength of 1.5418 Å.
Peak positions follow from Bragg's law for the DFT cell and can differ from measured ones.

Peak list (12 most intense, 10 to 80 degrees two-theta, by intensity)
two_theta, I (rel.)
30.89, 100.0
28.39, 74.3
25.93, 48.5
43.87, 42.9
30.13, 36.2
15.79, 34.2
40.97, 29.7
35.97, 23.9
55.52, 22.1
40.18, 21.4
34.97, 21.0
46.65, 20.9

Structure:
a = 7.3124 Å, b = 3.8937 Å, c = 11.2408 Å
α = 90.00°, β = 93.33°, γ = 90.00°
Positions (direct):
Y  0.0000  0.0000  0.0000
Y  0.5000  0.5000  0.0000
Ho  0.2910  0.0000  0.2436
Ho  0.7910  0.5000  0.2436
C  0.0677  0.5000  0.1513
C  0.2230  0.5000  0.0952
C  0.5677  0.0000  0.1513
C  0.7230  0.0000  0.0952
I  0.3211  0.0000  0.8121
I  0.4688  0.5000  0.4304
I  0.8211  0.5000  0.8121
I  0.9688  0.0000  0.4304

=====

Entry 9:
Diffraction record for Cu12Sb4Se13. The powder X-ray diffraction pattern is simulated, not measured: it uses a structure optimized by DFT (GGA-PBE) and a wavelength of 1.5418 Å.
Peak positions follow from Bragg's law for the DFT cell and can differ from measured ones.

Peak list (12 most intense, 10 to 80 degrees two-theta, by intensity)
two_theta, I (rel.)
28.49, 100.0
47.39, 69.0
56.23, 29.4
30.83, 20.4
35.08, 16.9
51.94, 13.7
42.47, 11.5
76.53, 11.1
45.80, 10.2
69.27, 8.0
23.18, 7.0
75.34, 6.8

Structure:
a = 9.3982 Å, b = 9.3982 Å, c = 9.3982 Å
α = 109.47°, β = 109.47°, γ = 109.47°
Positions (direct):
Cu  0.0000  0.2220  0.2220
Cu  0.0000  0.7780  0.7780
Cu  0.2220  0.0000  0.2220
Cu  0.2220  0.2220  0.0000
Cu  0.2500  0.5000  0.7500
Cu  0.2500  0.7500  0.5000
Cu  0.5000  0.2500  0.7500
Cu  0.5000  0.7500  0.2500
Cu  0.7500  0.2500  0.5000
Cu  0.7500  0.5000  0.2500
Cu  0.7780  0.0000  0.7780
Cu  0.7780  0.7780  0.0000
Sb  0.0000  0.0000  0.5516
Sb  0.0000  0.5516  0.0000
Sb  0.4484  0.4484  0.4484
Sb  0.5516  0.0000  0.0000
Se  0.0000  0.0000  0.0000
Se  0.0000  0.2493  0.4822
Se  0.0000  0.4822  0.2493
Se  0.2329  0.7507  0.7507
Se  0.2493  0.0000  0.4822
Se  0.2493  0.4822  0.0000
Se  0.4822  0.0000  0.2493
Se  0.4822  0.2493  0.0000
Se  0.5178  0.5178  0.7671
Se  0.5178  0.7671  0.5178
Se  0.7507  0.2329  0.7507
Se  0.7507  0.7507  0.2329
Se  0.7671  0.5178  0.5178

=====

Entry 10:
Diffraction record for DyY2Er2Lu2Cu2Te2. The powder X-ray diffraction pattern is simulated, not measured: it uses a structure optimized by DFT (GGA-PBE) and a wavelength of 1.5418 Å.
Peak positions follow from Bragg's law for the DFT cell and can differ from measured ones.

Peak list (12 most intense, 10 to 80 degrees two-theta, by intensity)
two_theta, I (rel.)
33.92, 100.0
33.21, 73.6
34.33, 70.8
29.97, 59.2
46.01, 32.7
51.37, 30.8
57.91, 30.0
30.60, 29.1
24.42, 23.7
38.23, 22.8
36.32, 21.3
35.08, 19.6

Structure:
a = 9.2449 Å, b = 9.2449 Å, c = 9.2449 Å
α = 155.36°, β = 67.78°, γ = 117.98°
Positions (direct):
Dy  0.0000  0.0000  0.0000
Y  0.6163  0.2612  0.3550
Y  0.9062  0.2612  0.6450
Er  0.2843  0.4146  0.8697
Er  0.5450  0.4146  0.1303
Lu  0.3036  0.6191  0.6845
Lu  0.9346  0.6191  0.3155
Cu  0.1685  0.9301  0.2384
Cu  0.6917  0.9301  0.7616
Te  0.2634  0.7634  0.5000
Te  0.6611  0.6611  0.0000

=====

Entry 11:
Diffraction record for ReBOs2. The powder X-ray diffraction pattern is simulated, not measured: it uses a structure optimized by DFT (GGA-PBE) and a wavelength of 1.5418 Å.
Peak positions follow from Bragg's law for the DFT cell and can differ from measured ones.

Peak list (9 most intense, 10 to 80 degrees two-theta, by intensity)
two_theta, I (rel.)
43.02, 100.0
78.84, 34.7
25.95, 24.9
62.46, 16.7
30.05, 12.6
50.92, 12.5
68.81, 5.1
70.86, 4.6
53.36, 3.5

Structure:
a = 5.9475 Å, b = 5.9475 Å, c = 5.9475 Å
α = 90.00°, β = 90.00°, γ = 90.00°
Positions (direct):
Re  0.0000  0.0000  0.0000
Re  0.0000  0.5000  0.5000
Re  0.5000  0.0000  0.5000
Re  0.5000  0.5000  0.0000
B  0.2500  0.2500  0.7500
B  0.2500  0.7500  0.2500
B  0.7500  0.2500  0.2500
B  0.7500  0.7500  0.7500
Os  0.0000  0.0000  0.5000
Os  0.0000  0.5000  0.0000
Os  0.2500  0.2500  0.2500
Os  0.2500  0.7500  0.7500
Os  0.5000  0.0000  0.0000
Os  0.5000  0.5000  0.5000
Os  0.7500  0.2500  0.7500
Os  0.7500  0.7500  0.2500

=====

Please write out number 5 again, unchanged.
Diffraction record for Cu4Ag. The powder X-ray diffraction pattern is simulated, not measured: it uses a structure optimized by DFT (GGA-PBE) and a wavelength of 1.5418 Å.
Peak positions follow from Bragg's law for the DFT cell and can differ from measured ones.

Peak list (12 most intense, 10 to 80 degrees two-theta, by intensity)
two_theta, I (rel.)
41.62, 100.0
48.42, 61.8
42.02, 49.0
42.18, 44.8
49.32, 28.3
71.52, 25.9
71.72, 15.0
70.22, 9.9
33.46, 5.5
22.37, 3.1
19.69, 2.8
43.79, 2.7

Structure:
a = 4.5476 Å, b = 2.6809 Å, c = 10.8051 Å
α = 90.00°, β = 97.50°, γ = 90.00°
Positions (direct):
Cu  0.0490  0.2500  0.3944
Cu  0.1388  0.7500  0.1922
Cu  0.2482  0.2500  0.0028
Cu  0.3470  0.7500  0.8150
Cu  0.6530  0.2500  0.1850
Cu  0.7518  0.7500  0.9972
Cu  0.8612  0.2500  0.8078
Cu  0.9510  0.7500  0.6056
Ag  0.4477  0.2500  0.6110
Ag  0.5523  0.7500  0.3890